No. 1
Starting from a GGA-PBE-relaxed structure, the X-ray diffraction stick pattern of La5Th3As8 was simulated for Cu Kα (λ = 1.5418 Å).

Peak list (8 most intense, 2θ from 5° to 70°, in order of falling intensity)
29.20 deg, I = 100.0; 41.77 deg, I = 76.0; 68.62 deg, I = 34.8; 51.78 deg, I = 27.1; 25.22 deg, I = 26.1; 49.42 deg, I = 13.5; 60.55 deg, I = 12.7; 12.52 deg, I = 6.1

Cell and atoms:
Cell: 8.6549 8.6549 8.6549 Å, 59.92 59.92 59.92°
Atoms (fractional coordinates):
La  0.0000  0.0000  0.0000
La  0.0000  0.5000  0.5000
La  0.5000  0.0000  0.5000
La  0.5000  0.5000  0.0000
La  0.5000  0.5000  0.5000
Th  0.0000  0.0000  0.5000
Th  0.0000  0.5000  0.0000
Th  0.5000  0.0000  0.0000
As  0.2433  0.7500  0.7500
As  0.2471  0.2471  0.2471
As  0.2500  0.2500  0.7567
As  0.2500  0.7567  0.2500
As  0.7500  0.2433  0.7500
As  0.7500  0.7500  0.2433
As  0.7529  0.7529  0.7529
As  0.7567  0.2500  0.2500



No. 2
Starting from a GGA-PBE-relaxed structure, the X-ray diffraction stick pattern of La3Tm2ThAs6 was simulated for Cu Kα (λ = 1.5418 Å).

Peak list (8 most intense, 2θ from 5° to 70°, in order of falling intensity)
29.71 deg, I = 100.0; 42.59 deg, I = 37.7; 42.43 deg, I = 37.4; 52.79 deg, I = 20.0; 25.69 deg, I = 17.7; 69.83 deg, I = 16.6; 61.69 deg, I = 12.3; 50.36 deg, I = 9.1

Cell and atoms:
Cell: 7.3519 7.3519 7.3902 Å, 99.57 99.57 119.97°
Atoms (fractional coordinates):
La  0.0000  0.0000  0.0000
La  0.3341  0.6659  0.0000
La  0.6659  0.3341  0.0000
Tm  0.1668  0.8332  0.5000
Tm  0.8332  0.1668  0.5000
Th  0.5000  0.5000  0.5000
As  0.0833  0.4214  0.2639
As  0.2402  0.2402  0.7348
As  0.4214  0.0833  0.2639
As  0.5786  0.9167  0.7361
As  0.7598  0.7598  0.2652
As  0.9167  0.5786  0.7361



No. 3
Starting from a GGA-PBE-relaxed structure, the X-ray diffraction stick pattern of LaVAs was simulated for Cu Kα (λ = 1.5418 Å).

Peak list (8 most intense, 2θ from 5° to 70°, in order of falling intensity)
29.73 deg, I = 100.0; 37.99 deg, I = 79.0; 44.44 deg, I = 58.5; 32.90 deg, I = 41.6; 47.22 deg, I = 39.1; 66.84 deg, I = 34.2; 56.80 deg, I = 31.7; 18.46 deg, I = 27.7

Cell and atoms:
Cell: 3.8500 3.8500 9.6125 Å, 90.00 90.00 90.00°
Atoms (fractional coordinates):
La  0.2500  0.2500  0.1904
La  0.7500  0.7500  0.8096
V  0.2500  0.7500  0.5000
V  0.7500  0.2500  0.5000
As  0.2500  0.2500  0.6731
As  0.7500  0.7500  0.3269



No. 4
Starting from a GGA-PBE-relaxed structure, the X-ray diffraction stick pattern of La2YAs3 was simulated for Cu Kα (λ = 1.5418 Å).

Peak list (8 most intense, 2θ from 5° to 70°, in order of falling intensity)
42.03 deg, I = 100.0; 29.34 deg, I = 89.8; 29.46 deg, I = 44.2; 52.11 deg, I = 35.3; 69.01 deg, I = 30.1; 69.23 deg, I = 14.6; 25.37 deg, I = 12.6; 60.86 deg, I = 11.0

Cell and atoms:
Cell: 9.5928 9.5928 9.5928 Å, 154.07 154.07 37.00°
Atoms (fractional coordinates):
La  0.1653  0.1653  0.0000
La  0.8347  0.8347  0.0000
Y  0.5000  0.5000  0.0000
As  0.0000  0.0000  0.0000
As  0.3371  0.3371  0.0000
As  0.6629  0.6629  0.0000



No. 5
Starting from a GGA-PBE-relaxed structure, the X-ray diffraction stick pattern of LaY2As was simulated for Cu Kα (λ = 1.5418 Å).

Peak list (8 most intense, 2θ from 5° to 70°, in order of falling intensity)
31.74 deg, I = 100.0; 28.16 deg, I = 97.5; 42.93 deg, I = 65.6; 26.36 deg, I = 56.2; 40.24 deg, I = 27.4; 62.55 deg, I = 24.5; 33.19 deg, I = 21.3; 60.30 deg, I = 20.1

Cell and atoms:
Cell: 7.0774 7.0774 7.0774 Å, 101.41 101.41 127.18°
Atoms (fractional coordinates):
La  0.0000  0.0000  0.0000
La  0.7500  0.2500  0.5000
Y  0.2007  0.6250  0.0757
Y  0.3750  0.4507  0.5757
Y  0.5493  0.1250  0.9243
Y  0.8750  0.7993  0.4243
As  0.2500  0.7500  0.5000
As  0.5000  0.5000  0.0000



No. 6
Starting from a GGA-PBE-relaxed structure, the X-ray diffraction stick pattern of La2ZnAs4 was simulated for Cu Kα (λ = 1.5418 Å).

Peak list (8 most intense, 2θ from 5° to 70°, in order of falling intensity)
35.87 deg, I = 100.0; 30.96 deg, I = 59.8; 44.73 deg, I = 39.1; 22.36 deg, I = 25.4; 45.52 deg, I = 25.1; 55.39 deg, I = 22.7; 65.73 deg, I = 16.5; 65.12 deg, I = 12.5

Cell and atoms:
Cell: 10.6890 10.6890 10.6890 Å, 158.15 158.15 31.09°
Atoms (fractional coordinates):
La  0.1200  0.1200  0.0000
La  0.8800  0.8800  0.0000
Zn  0.2500  0.7500  0.5000
As  0.0005  0.5005  0.5000
As  0.3237  0.3237  0.0000
As  0.4995  0.9995  0.5000
As  0.6763  0.6763  0.0000



No. 7
Starting from a GGA-PBE-relaxed structure, the X-ray diffraction stick pattern of Li5As was simulated for Cu Kα (λ = 1.5418 Å).

Peak list (8 most intense, 2θ from 5° to 70°, in order of falling intensity)
28.52 deg, I = 100.0; 23.58 deg, I = 84.4; 15.81 deg, I = 78.9; 40.08 deg, I = 67.4; 41.46 deg, I = 38.1; 44.64 deg, I = 32.9; 59.03 deg, I = 21.4; 51.09 deg, I = 19.3

Cell and atoms:
Cell: 4.3560 4.3560 5.6044 Å, 90.00 90.00 120.00°
Atoms (fractional coordinates):
Li  0.0000  0.0000  0.0000
Li  0.3333  0.6667  0.2741
Li  0.3333  0.6667  0.7259
Li  0.6667  0.3333  0.2741
Li  0.6667  0.3333  0.7259
As  0.0000  0.0000  0.5000



No. 8
Starting from a GGA-PBE-relaxed structure, the X-ray diffraction stick pattern of Li5As3 was simulated for Cu Kα (λ = 1.5418 Å).

Peak list (8 most intense, 2θ from 5° to 70°, in order of falling intensity)
28.81 deg, I = 100.0; 52.11 deg, I = 49.9; 39.52 deg, I = 48.6; 26.47 deg, I = 42.0; 13.15 deg, I = 38.1; 22.87 deg, I = 36.7; 34.97 deg, I = 25.2; 44.38 deg, I = 24.0

Cell and atoms:
Cell: 7.7764 7.7764 5.1322 Å, 90.00 90.00 120.00°
Atoms (fractional coordinates):
Li  0.0000  0.2615  0.2500
Li  0.0000  0.7385  0.7500
Li  0.2615  0.0000  0.2500
Li  0.2615  0.2615  0.7500
Li  0.3333  0.6667  0.0000
Li  0.3333  0.6667  0.5000
Li  0.6667  0.3333  0.0000
Li  0.6667  0.3333  0.5000
Li  0.7385  0.0000  0.7500
Li  0.7385  0.7385  0.2500
As  0.0000  0.4041  0.7500
As  0.0000  0.5959  0.2500
As  0.4041  0.0000  0.7500
As  0.4041  0.4041  0.2500
As  0.5959  0.0000  0.2500
As  0.5959  0.5959  0.7500



No. 9
Starting from a GGA-PBE-relaxed structure, the X-ray diffraction stick pattern of LiAs2 was simulated for Cu Kα (λ = 1.5418 Å).

Peak list (8 most intense, 2θ from 5° to 70°, in order of falling intensity)
21.40 deg, I = 100.0; 31.13 deg, I = 81.8; 44.42 deg, I = 56.7; 47.35 deg, I = 50.1; 34.77 deg, I = 37.6; 12.65 deg, I = 30.5; 54.98 deg, I = 22.6; 55.48 deg, I = 17.4

Cell and atoms:
Cell: 7.2289 7.2289 5.1606 Å, 90.00 90.00 150.77°
Atoms (fractional coordinates):
Li  0.1853  0.8147  0.7500
Li  0.8147  0.1853  0.2500
As  0.1515  0.8485  0.2500
As  0.4690  0.5310  0.7500
As  0.5310  0.4690  0.2500
As  0.8485  0.1515  0.7500



No. 10
Starting from a GGA-PBE-relaxed structure, the X-ray diffraction stick pattern of Li5As2 was simulated for Cu Kα (λ = 1.5418 Å).

Peak list (8 most intense, 2θ from 5° to 70°, in order of falling intensity)
25.55 deg, I = 100.0; 47.41 deg, I = 20.5; 40.09 deg, I = 20.0; 27.47 deg, I = 19.3; 48.87 deg, I = 18.6; 28.63 deg, I = 18.0; 43.01 deg, I = 16.8; 43.80 deg, I = 16.2

Cell and atoms:
Cell: 7.5536 7.5536 7.5536 Å, 129.09 68.68 137.13°
Atoms (fractional coordinates):
Li  0.0110  0.2500  0.7610
Li  0.0820  0.6516  0.7336
Li  0.2500  0.2500  0.0000
Li  0.4180  0.1516  0.5697
Li  0.4890  0.2500  0.2390
Li  0.5110  0.7500  0.7610
Li  0.5820  0.8484  0.4303
Li  0.7500  0.7500  0.0000
Li  0.9180  0.3484  0.2664
Li  0.9890  0.7500  0.2390
As  0.1245  0.2568  0.3813
As  0.3755  0.7568  0.1324
As  0.6245  0.2432  0.8676
As  0.8755  0.7432  0.6187



No. 11
Starting from a GGA-PBE-relaxed structure, the X-ray diffraction stick pattern of Li5As was simulated for Cu Kα (λ = 1.5418 Å).

Peak list (8 most intense, 2θ from 5° to 70°, in order of falling intensity)
16.55 deg, I = 100.0; 22.42 deg, I = 88.9; 39.14 deg, I = 80.7; 30.87 deg, I = 74.2; 26.80 deg, I = 54.4; 20.94 deg, I = 51.7; 32.69 deg, I = 33.9; 52.41 deg, I = 22.3

Cell and atoms:
Cell: 5.7673 5.7673 4.2431 Å, 90.00 90.00 136.57°
Atoms (fractional coordinates):
Li  0.0000  0.0000  0.0000
Li  0.1553  0.8447  0.5000
Li  0.3543  0.6457  0.0000
Li  0.6457  0.3543  0.0000
Li  0.8447  0.1553  0.5000
As  0.5000  0.5000  0.5000



No. 12
Starting from a GGA-PBE-relaxed structure, the X-ray diffraction stick pattern of Li7As3 was simulated for Cu Kα (λ = 1.5418 Å).

Peak list (8 most intense, 2θ from 5° to 70°, in order of falling intensity)
21.92 deg, I = 100.0; 26.94 deg, I = 93.9; 21.52 deg, I = 92.8; 31.44 deg, I = 63.8; 40.15 deg, I = 49.7; 29.58 deg, I = 48.8; 40.72 deg, I = 41.3; 44.92 deg, I = 39.8

Cell and atoms:
Cell: 6.8607 6.8607 5.9671 Å, 98.16 98.16 37.06°
Atoms (fractional coordinates):
Li  0.0000  0.0000  0.0000
Li  0.2003  0.2003  0.6682
Li  0.3439  0.3439  0.0388
Li  0.4019  0.4019  0.5853
Li  0.5981  0.5981  0.4147
Li  0.6561  0.6561  0.9612
Li  0.7997  0.7997  0.3318
As  0.0000  0.0000  0.5000
As  0.1768  0.1768  0.2210
As  0.8232  0.8232  0.7790